# 1
Diffraction record for CeEr3Rh2. The powder diffractogram is simulated, not measured: it uses the GGA-PBE geometry in Alexandria and λ = 1.5418 Å (Cu Kα).

Structure:
```
data_CeEr3Rh2
_space_group_name_H-M_alt 'I b a m'
_space_group_IT_number 72
_space_group_name_Hall '-I 2 2c'
_cell_length_a 6.758
_cell_length_b 13.448
_cell_length_c 7.015
_cell_angle_alpha 90.00
_cell_angle_beta 90.00
_cell_angle_gamma 90.00
loop_
_atom_site_label
_atom_site_type_symbol
_atom_site_fract_x
_atom_site_fract_y
_atom_site_fract_z
Ce1 Ce 0.000 0.000 0.000
Er1 Er 0.000 0.242 0.250
Er2 Er 0.000 0.500 0.250
Rh1 Rh 0.230 0.368 0.000
```

Main lines, sorted by position (2θ = 15–90°):
d_spacing	2θ (°)	Rel. int.
3.942	22.55	49
3.033	29.45	41
2.557	35.10	49
2.430	36.99	96
2.383	37.75	100
1.412	66.16	38


# 2
Diffraction record for CeEr5Ru6. The powder diffractogram is simulated, not measured: it uses the GGA-PBE geometry in Alexandria and λ = 1.5418 Å (Cu Kα).

Structure:
```
data_CeEr5Ru6
_space_group_name_H-M_alt 'P 1 2/m 1'
_space_group_IT_number 10
_cell_length_a 4.798
_cell_length_b 6.784
_cell_length_c 7.516
_cell_angle_alpha 90.00
_cell_angle_beta 108.41
_cell_angle_gamma 90.00
loop_
_space_group_symop_operation_xyz
'x,y,z'
'-x,-y,-z'
'-x,y,-z'
'x,-y,z'
loop_
_atom_site_label
_atom_site_type_symbol
_atom_site_fract_x
_atom_site_fract_y
_atom_site_fract_z
Ce1 Ce 0.000 0.000 0.000
Er1 Er 0.000 0.500 0.000
Er2 Er 0.330 0.000 0.660
Er3 Er 0.333 0.500 0.665
Ru1 Ru 0.162 0.245 0.325
Ru2 Ru 0.500 0.243 0.000
```

Main lines, sorted by position (2θ = 15–90°):
d_spacing	2θ (°)	Rel. int.
2.397	37.53	100
2.391	37.62	66
2.377	37.85	32
1.696	54.07	12
1.385	67.64	23
1.383	67.77	12


# 3
Diffraction record for CeEr3Ru. The powder diffractogram is simulated, not measured: it uses the GGA-PBE geometry in Alexandria and λ = 1.5418 Å (Cu Kα).

Structure:
```
data_CeEr3Ru
_space_group_name_H-M_alt 'I m m a'
_space_group_IT_number 74
_space_group_name_Hall '-I 2b 2'
_cell_length_a 8.229
_cell_length_b 9.880
_cell_length_c 7.158
_cell_angle_alpha 90.00
_cell_angle_beta 90.00
_cell_angle_gamma 90.00
loop_
_atom_site_label
_atom_site_type_symbol
_atom_site_fract_x
_atom_site_fract_y
_atom_site_fract_z
Ce1 Ce 0.000 0.250 0.019
Er1 Er 0.000 0.250 0.502
Er2 Er 0.250 0.028 0.750
Ru1 Ru 0.250 0.250 0.250
```

Main lines, sorted by position (2θ = 15–90°):
d_spacing	2θ (°)	Rel. int.
3.162	28.23	74
2.898	30.85	58
2.700	33.18	100
2.470	36.37	32
1.823	50.05	51
1.678	54.71	23


# 4
Diffraction record for Ce4Er11S22. The powder diffractogram is simulated, not measured: it uses the GGA-PBE geometry in Alexandria and λ = 1.5418 Å (Cu Kα).

Structure:
```
data_Ce4Er11S22
_space_group_name_H-M_alt 'C 1 2/m 1'
_space_group_IT_number 12
_cell_length_a 39.114
_cell_length_b 3.933
_cell_length_c 11.307
_cell_angle_alpha 90.00
_cell_angle_beta 91.53
_cell_angle_gamma 90.00
loop_
_space_group_symop_operation_xyz
'x,y,z'
'-x,-y,-z'
'-x,y,-z'
'x,-y,z'
'x+1/2,y+1/2,z'
'-x+1/2,-y+1/2,-z'
'-x+1/2,y+1/2,-z'
'x+1/2,-y+1/2,z'
loop_
_atom_site_label
_atom_site_type_symbol
_atom_site_fract_x
_atom_site_fract_y
_atom_site_fract_z
Ce1 Ce 0.105 0.000 0.012
Ce2 Ce 0.133 0.500 0.652
Er1 Er 0.000 0.000 0.000
Er2 Er 0.039 0.500 0.731
Er3 Er 0.070 0.000 0.360
Er4 Er 0.158 0.500 0.302
Er5 Er 0.202 0.000 0.941
Er6 Er 0.236 0.500 0.649
S1 S 0.008 0.000 0.240
S2 S 0.047 0.500 0.971
S3 S 0.056 0.500 0.506
S4 S 0.088 0.000 0.753
S5 S 0.094 0.500 0.210
S6 S 0.135 0.000 0.454
S7 S 0.150 0.500 0.909
S8 S 0.169 0.000 0.150
S9 S 0.189 0.000 0.691
S10 S 0.220 0.500 0.410
S11 S 0.245 0.500 0.881
```

Main lines, sorted by position (2θ = 15–90°):
d_spacing	2θ (°)	Rel. int.
3.768	23.61	80
3.665	24.28	100
3.367	26.47	62
2.836	31.55	63
2.637	34.00	57
2.141	42.21	55


# 5
Diffraction record for CeEr2S5. The powder diffractogram is simulated, not measured: it uses the GGA-PBE geometry in Alexandria and λ = 1.5418 Å (Cu Kα).

Structure:
```
data_CeEr2S5
_space_group_name_H-M_alt 'C m c m'
_space_group_IT_number 63
_space_group_name_Hall '-C 2c 2'
_cell_length_a 5.280
_cell_length_b 13.122
_cell_length_c 13.182
_cell_angle_alpha 90.00
_cell_angle_beta 90.00
_cell_angle_gamma 90.00
loop_
_atom_site_label
_atom_site_type_symbol
_atom_site_fract_x
_atom_site_fract_y
_atom_site_fract_z
Ce1 Ce 0.000 0.200 0.250
Er1 Er 0.000 0.144 0.556
S1 S 0.000 0.046 0.121
S2 S 0.000 0.235 0.750
S3 S 0.000 0.313 0.070
```

Main lines, sorted by position (2θ = 15–90°):
d_spacing	2θ (°)	Rel. int.
4.898	18.11	100
3.651	24.38	80
3.368	26.46	47
3.272	27.25	61
2.640	33.96	50
2.074	43.65	45


# 6
Diffraction record for Tb3Ce2ErS6. The powder diffractogram is simulated, not measured: it uses the GGA-PBE geometry in Alexandria and λ = 1.5418 Å (Cu Kα).

Structure:
```
data_Tb3Ce2ErS6
_space_group_name_H-M_alt 'C 1 2/m 1'
_space_group_IT_number 12
_cell_length_a 6.830
_cell_length_b 11.846
_cell_length_c 6.852
_cell_angle_alpha 90.00
_cell_angle_beta 109.53
_cell_angle_gamma 90.00
loop_
_space_group_symop_operation_xyz
'x,y,z'
'-x,-y,-z'
'-x,y,-z'
'x,-y,z'
'x+1/2,y+1/2,z'
'-x+1/2,-y+1/2,-z'
'-x+1/2,y+1/2,-z'
'x+1/2,-y+1/2,z'
loop_
_atom_site_label
_atom_site_type_symbol
_atom_site_fract_x
_atom_site_fract_y
_atom_site_fract_z
Tb1 Tb 0.000 0.000 0.000
Tb2 Tb 0.000 0.332 0.000
Ce1 Ce 0.000 0.166 0.500
Er1 Er 0.000 0.500 0.500
S1 S 0.241 0.500 0.245
S2 S 0.247 0.337 0.754
```

Main lines, sorted by position (2θ = 15–90°):
d_spacing	2θ (°)	Rel. int.
3.224	27.67	79
2.792	32.05	100
1.976	45.94	48
1.972	46.02	24
1.684	54.49	29
1.248	76.30	21


# 7
Diffraction record for CeErTe2S. The powder diffractogram is simulated, not measured: it uses the GGA-PBE geometry in Alexandria and λ = 1.5418 Å (Cu Kα).

Structure:
```
data_CeErTe2S
_space_group_name_H-M_alt 'P 4/n m m'
_space_group_IT_number 129
_cell_length_a 4.405
_cell_length_b 4.405
_cell_length_c 15.372
_cell_angle_alpha 90.00
_cell_angle_beta 90.00
_cell_angle_gamma 90.00
loop_
_space_group_symop_operation_xyz
'x,y,z'
'-x,-y,-z'
'-y+1/2,x,z'
'y+1/2,-x,-z'
'-x+1/2,-y+1/2,z'
'x+1/2,y+1/2,-z'
'y,-x+1/2,z'
'-y,x+1/2,-z'
'x+1/2,-y,-z'
'-x+1/2,y,z'
'-y,-x,-z'
'y,x,z'
'-x,y+1/2,-z'
'x,-y+1/2,z'
'y+1/2,x+1/2,-z'
'-y+1/2,-x+1/2,z'
loop_
_atom_site_label
_atom_site_type_symbol
_atom_site_fract_x
_atom_site_fract_y
_atom_site_fract_z
Ce1 Ce 0.250 0.250 0.108
Er1 Er 0.250 0.250 0.605
Te1 Te 0.250 0.250 0.401
Te2 Te 0.250 0.250 0.797
S1 S 0.250 0.750 0.000
```

Main lines, sorted by position (2θ = 15–90°):
d_spacing	2θ (°)	Rel. int.
3.843	23.14	26
3.341	26.69	26
3.115	28.66	100
2.420	37.15	47
2.215	40.74	23
2.203	40.97	48


# 8
Diffraction record for CeEr3Tl4S8. The powder diffractogram is simulated, not measured: it uses the GGA-PBE geometry in Alexandria and λ = 1.5418 Å (Cu Kα).

Structure:
```
data_CeEr3Tl4S8
_space_group_name_H-M_alt 'R -3 m'
_space_group_IT_number 166
_space_group_name_Hall '-R 3 2"'
_cell_length_a 8.0966
_cell_length_b 8.0966
_cell_length_c 22.5704
_cell_angle_alpha 90.00
_cell_angle_beta 90.00
_cell_angle_gamma 120.00
loop_
_atom_site_label
_atom_site_type_symbol
_atom_site_fract_x
_atom_site_fract_y
_atom_site_fract_z
Ce1 Ce 0.0000 0.0000 0.0000
Er1 Er 0.0000 0.5000 0.0000
Tl1 Tl 0.0000 0.0000 0.5000
Tl2 Tl 0.0000 0.5000 0.5000
S1 S 0.0000 0.0000 0.2685
S2 S 0.0094 0.5047 0.2674
```

Main lines, sorted by position (2θ = 15–90°):
d_spacing	2θ (°)	Rel. int.
3.762	23.65	31
3.348	26.62	65
2.978	30.01	100
2.198	41.07	39
2.024	44.77	34
1.782	51.25	25


# 9
Diffraction record for Ce2ErUS5. The powder diffractogram is simulated, not measured: it uses the GGA-PBE geometry in Alexandria and λ = 1.5418 Å (Cu Kα).

Structure:
```
data_Ce2ErUS5
_space_group_name_H-M_alt 'P 4/m m m'
_space_group_IT_number 123
_space_group_name_Hall '-P 4 2'
_cell_length_a 4.852
_cell_length_b 4.852
_cell_length_c 10.379
_cell_angle_alpha 90.00
_cell_angle_beta 90.00
_cell_angle_gamma 90.00
loop_
_atom_site_label
_atom_site_type_symbol
_atom_site_fract_x
_atom_site_fract_y
_atom_site_fract_z
Ce1 Ce 0.000 0.000 0.206
Er1 Er 0.500 0.500 0.000
U1 U 0.500 0.500 0.500
S1 S 0.000 0.000 0.500
S2 S 0.000 0.500 0.000
S3 S 0.500 0.500 0.253
```

Main lines, sorted by position (2θ = 15–90°):
d_spacing	2θ (°)	Rel. int.
3.544	25.13	100
3.431	25.97	84
2.426	37.06	46
2.070	43.74	25
2.002	45.30	44
1.772	51.58	23


# 10
Diffraction record for Ce4Y3ErS8. The powder diffractogram is simulated, not measured: it uses the GGA-PBE geometry in Alexandria and λ = 1.5418 Å (Cu Kα).

Structure:
```
data_Ce4Y3ErS8
_space_group_name_H-M_alt 'R -3 m'
_space_group_IT_number 166
_space_group_name_Hall '-R 3 2"'
_cell_length_a 7.8928
_cell_length_b 7.8928
_cell_length_c 19.6077
_cell_angle_alpha 90.00
_cell_angle_beta 90.00
_cell_angle_gamma 120.00
loop_
_atom_site_label
_atom_site_type_symbol
_atom_site_fract_x
_atom_site_fract_y
_atom_site_fract_z
Ce1 Ce 0.0000 0.0000 0.0000
Ce2 Ce 0.0000 0.5000 0.0000
Y1 Y 0.0000 0.5000 0.5000
Er1 Er 0.0000 0.0000 0.5000
S1 S 0.0000 0.0000 0.2465
S2 S 0.0024 0.5012 0.2459
```

Main lines, sorted by position (2θ = 15–90°):
d_spacing	2θ (°)	Rel. int.
3.268	27.29	16
3.227	27.64	47
2.804	31.92	100
1.992	45.54	36
1.973	46.00	35
1.614	57.08	18


# 11
Diffraction record for CeEr3Sb3. The powder diffractogram is simulated, not measured: it uses the GGA-PBE geometry in Alexandria and λ = 1.5418 Å (Cu Kα).

Structure:
```
data_CeEr3Sb3
_space_group_name_H-M_alt 'P 63/m'
_space_group_IT_number 176
_space_group_name_Hall '-P 6c'
_cell_length_a 9.0301
_cell_length_b 9.0301
_cell_length_c 5.6655
_cell_angle_alpha 90.00
_cell_angle_beta 90.00
_cell_angle_gamma 120.00
loop_
_atom_site_label
_atom_site_type_symbol
_atom_site_fract_x
_atom_site_fract_y
_atom_site_fract_z
Ce1 Ce 0.3333 0.6667 0.2500
Er1 Er 0.0160 0.2495 0.2500
Sb1 Sb 0.0605 0.4244 0.7500
```

Main lines, sorted by position (2θ = 15–90°):
d_spacing	2θ (°)	Rel. int.
2.956	30.24	21
2.833	31.58	33
2.621	34.22	100
2.045	44.29	14
1.591	57.95	22
1.462	63.66	12


# 12
Diffraction record for Ce5ErSb3. The powder diffractogram is simulated, not measured: it uses the GGA-PBE geometry in Alexandria and λ = 1.5418 Å (Cu Kα).

Structure:
```
data_Ce5ErSb3
_space_group_name_H-M_alt 'P -1'
_space_group_IT_number 2
_cell_length_a 6.623
_cell_length_b 9.011
_cell_length_c 9.011
_cell_angle_alpha 103.31
_cell_angle_beta 92.60
_cell_angle_gamma 92.58
loop_
_space_group_symop_operation_xyz
'x,y,z'
'-x,-y,-z'
loop_
_atom_site_label
_atom_site_type_symbol
_atom_site_fract_x
_atom_site_fract_y
_atom_site_fract_z
Ce1 Ce 0.002 0.171 0.336
Ce2 Ce 0.272 0.175 0.679
Ce3 Ce 0.274 0.858 0.011
Ce4 Ce 0.277 0.515 0.357
Ce5 Ce 0.497 0.830 0.668
Er1 Er 0.000 0.500 0.000
Er2 Er 0.500 0.500 0.000
Sb1 Sb 0.231 0.533 0.713
Sb2 Sb 0.233 0.215 0.037
Sb3 Sb 0.234 0.869 0.367
```

Main lines, sorted by position (2θ = 15–90°):
d_spacing	2θ (°)	Rel. int.
2.918	30.64	100
2.755	32.50	28
2.665	33.63	66
2.593	34.59	28
2.356	38.20	33
2.211	40.81	18


> What is the formula in the seventh record?

CeErTe2S


> Number 7 is which compound?

CeErTe2S


Repeat the tenth record exactly.
Diffraction record for Ce4Y3ErS8. The powder diffractogram is simulated, not measured: it uses the GGA-PBE geometry in Alexandria and λ = 1.5418 Å (Cu Kα).

Structure:
```
data_Ce4Y3ErS8
_space_group_name_H-M_alt 'R -3 m'
_space_group_IT_number 166
_space_group_name_Hall '-R 3 2"'
_cell_length_a 7.8928
_cell_length_b 7.8928
_cell_length_c 19.6077
_cell_angle_alpha 90.00
_cell_angle_beta 90.00
_cell_angle_gamma 120.00
loop_
_atom_site_label
_atom_site_type_symbol
_atom_site_fract_x
_atom_site_fract_y
_atom_site_fract_z
Ce1 Ce 0.0000 0.0000 0.0000
Ce2 Ce 0.0000 0.5000 0.0000
Y1 Y 0.0000 0.5000 0.5000
Er1 Er 0.0000 0.0000 0.5000
S1 S 0.0000 0.0000 0.2465
S2 S 0.0024 0.5012 0.2459
```

Main lines, sorted by position (2θ = 15–90°):
d_spacing	2θ (°)	Rel. int.
3.268	27.29	16
3.227	27.64	47
2.804	31.92	100
1.992	45.54	36
1.973	46.00	35
1.614	57.08	18